[1]
# AlAg8Se6
Simulated XRD peak list, Cu Kα (weighted mean of Kα1 and Kα2). Input: the PBE geometry in Alexandria.

Most intense lines, 10 to 90 degrees two-theta, in order of falling intensity:
2theta  intensity
27.54  100
35.19  81
46.64  81
35.31  80
41.98  79
28.15  66
41.86  51
44.74  50
26.10  45
40.69  43

Crystal structure
Lattice parameters (Å, degrees): 8.1031 7.8405 10.7811 90.00 90.00 90.00
Fractional positions:
Al1 0.0000 0.2429 0.0000
Al2 0.5000 0.7571 0.5000
Ag1 0.0000 0.7840 0.9597
Ag2 0.0000 0.8739 0.5166
Ag3 0.1957 0.9623 0.7477
Ag4 0.2037 0.4019 0.3490
Ag5 0.2186 0.3418 0.6305
Ag6 0.2814 0.6582 0.1305
Ag7 0.2963 0.5981 0.8490
Ag8 0.3043 0.0377 0.2477
Ag9 0.5000 0.1261 0.0166
Ag10 0.5000 0.2160 0.4597
Ag11 0.6957 0.0377 0.2477
Ag12 0.7037 0.5981 0.8490
Ag13 0.7186 0.6582 0.1305
Ag14 0.7814 0.3418 0.6305
Ag15 0.7963 0.4019 0.3490
Ag16 0.8043 0.9623 0.7477
Se1 0.0000 0.0054 0.1379
Se2 0.0000 0.2116 0.4861
Se3 0.0000 0.4872 0.1383
Se4 0.0000 0.6854 0.7277
Se5 0.2469 0.2503 0.8788
Se6 0.2531 0.7497 0.3788
Se7 0.5000 0.3146 0.2277
Se8 0.5000 0.5128 0.6383
Se9 0.5000 0.7884 0.9861
Se10 0.5000 0.9946 0.6379
Se11 0.7469 0.7497 0.3788
Se12 0.7531 0.2503 0.8788


[2]
# Sm3Ga4
Simulated XRD peak list, Cu Kα (weighted mean of Kα1 and Kα2). Input: the PBE geometry in Alexandria.

Most intense lines, 10 to 90 degrees two-theta, in order of falling intensity:
2theta  intensity
37.55  100
32.29  89
33.98  79
29.53  62
43.18  38
29.78  33
53.33  27
37.83  26
73.26  24
58.53  22

Crystal structure
Lattice parameters (Å, degrees): 5.9289 5.9289 14.2691 90.00 90.00 138.61
Fractional positions:
Sm1 0.0048 0.9952 0.7500
Sm2 0.2949 0.7051 0.1000
Sm3 0.2949 0.7051 0.4000
Sm4 0.7051 0.2949 0.6000
Sm5 0.7051 0.2949 0.9000
Sm6 0.9952 0.0048 0.2500
Ga1 0.0000 0.0000 0.0000
Ga2 0.0000 0.0000 0.5000
Ga3 0.2789 0.7211 0.7500
Ga4 0.4185 0.5815 0.6004
Ga5 0.4185 0.5815 0.8996
Ga6 0.5815 0.4185 0.1004
Ga7 0.5815 0.4185 0.3996
Ga8 0.7211 0.2789 0.2500